[1]
Structure and computed powder XRD pattern of Sr8CdPt2 (a cell relaxed with GGA-PBE; λ = 1.5418 Å (Cu Kα)).
Intensities are scaled so that the largest is 100.

```
data_Sr8CdPt2
_chemical_formula_sum 'Sr8 Cd1 Pt2'
_symmetry_space_group_name_H-M 'P 1'
_symmetry_Int_Tables_number 1
_symmetry_space_group_name_Hall 'P 1'
_cell_length_a 8.612
_cell_length_b 8.612
_cell_length_c 6.310
_cell_angle_alpha 97.25
_cell_angle_beta 97.25
_cell_angle_gamma 111.45
loop_
_atom_site_label
_atom_site_fract_x
_atom_site_fract_y
_atom_site_fract_z
Sr1 0.000 0.000 0.000
Sr2 0.050 0.319 0.625
Sr3 0.139 0.627 0.211
Sr4 0.319 0.050 0.625
Sr5 0.445 0.716 0.799
Sr6 0.627 0.139 0.211
Sr7 0.716 0.445 0.799
Sr8 0.761 0.761 0.419
Cd1 0.380 0.380 0.160
Pt1 0.069 0.695 0.710
Pt2 0.695 0.069 0.710
```

Largest 10 diffraction maxima, by intensity, 2θ = 10–80°:
2theta  I (rel.)
29.0  100.0
34.2  66.9
29.5  66.4
14.4  51.3
37.9  47.6
35.1  46.5
26.7  44.5
31.5  41.1
58.6  39.7
40.8  38.2



[2]
Structure and computed powder XRD pattern of TaCdPt4 (a cell relaxed with GGA-PBE; λ = 1.5418 Å (Cu Kα)).
Intensities are scaled so that the largest is 100.

```
data_TaCdPt4
_chemical_formula_sum 'Ta2 Cd2 Pt8'
_symmetry_space_group_name_H-M 'P 1'
_symmetry_Int_Tables_number 1
_symmetry_space_group_name_Hall 'P 1'
_cell_length_a 9.937
_cell_length_b 9.937
_cell_length_c 5.583
_cell_angle_alpha 90.00
_cell_angle_beta 90.00
_cell_angle_gamma 157.30
loop_
_atom_site_label
_atom_site_fract_x
_atom_site_fract_y
_atom_site_fract_z
Ta1 0.080 0.920 0.750
Ta2 0.920 0.080 0.250
Cd1 0.231 0.769 0.250
Cd2 0.769 0.231 0.750
Pt1 0.069 0.931 0.250
Pt2 0.356 0.644 0.004
Pt3 0.356 0.644 0.496
Pt4 0.500 0.500 0.000
Pt5 0.500 0.500 0.500
Pt6 0.644 0.356 0.504
Pt7 0.644 0.356 0.996
Pt8 0.931 0.069 0.750
```

Largest 10 diffraction maxima, by intensity, 2θ = 10–80°:
2theta  I (rel.)
39.9  100.0
39.7  87.7
42.7  52.9
64.9  30.8
46.4  30.8
76.1  20.7
49.7  18.5
32.4  14.0
70.3  13.3
67.1  10.7



[3]
Structure and computed powder XRD pattern of TbZnCdPt (a cell relaxed with GGA-PBE; λ = 1.5418 Å (Cu Kα)).
Intensities are scaled so that the largest is 100.

```
data_TbZnCdPt
_chemical_formula_sum 'Tb1 Zn1 Cd1 Pt1'
_symmetry_space_group_name_H-M 'P 1'
_symmetry_Int_Tables_number 1
_symmetry_space_group_name_Hall 'P 1'
_cell_length_a 4.827
_cell_length_b 4.827
_cell_length_c 4.827
_cell_angle_alpha 60.00
_cell_angle_beta 60.00
_cell_angle_gamma 60.00
loop_
_atom_site_label
_atom_site_fract_x
_atom_site_fract_y
_atom_site_fract_z
Tb1 0.000 0.000 0.000
Zn1 0.250 0.250 0.250
Cd1 0.500 0.500 0.500
Pt1 0.750 0.750 0.750
```

Largest 8 diffraction maxima, by intensity, 2θ = 10–80°:
2theta  I (rel.)
37.3  100.0
67.2  34.9
53.7  17.3
22.6  13.2
79.4  10.9
44.0  7.3
59.0  3.2
71.9  2.5